Entry 1:
This entry pairs a crystal structure of Sc3IrC4 with its computed XRD peak list. Radiation: λ = 1.5418 Å (Cu Kα). Structure: the GGA-PBE geometry in Alexandria.
No peak broadening, texture or thermal motion is included.

The 6 most intense peaks (10 to 90 degrees two-theta), sorted by position:
| 2θ (°) | intensity | h k l |
| --- | --- | --- |
| 14.41 | 72 | 0 2 0 |
| 21.20 | 55 | 1 1 -1 |
| 26.96 | 23 | 1 1 1 |
| 34.07 | 23 | 1 3 1 |
| 36.11 | 100 | 2 2 0 |
| 44.48 | 37 | 2 4 0 |

Structural model:
Lattice parameters (Å, degrees): 5.628 12.291 5.627 90.00 104.79 90.00
Space group C2/m (No. 12)
Inequivalent atoms, fractional coordinates:
Sc: 0.000 0.190 0.000 [4 per cell]
Sc: 0.000 0.309 0.500 [4 per cell]
Sc: 0.238 0.000 0.763 [4 per cell]
Ir: 0.229 0.500 0.728 [4 per cell]
C: 0.081 0.127 0.419 [8 per cell]
C: 0.081 0.371 0.919 [8 per cell]

***

Entry 2:
This entry pairs a crystal structure of P2Ir2F with its computed XRD peak list. Radiation: λ = 1.5418 Å (Cu Kα). Structure: the GGA-PBE geometry in Alexandria.
No peak broadening, texture or thermal motion is included.

The 6 most intense peaks (10 to 90 degrees two-theta), sorted by position:
| 2θ (°) | intensity | h k l |
| --- | --- | --- |
| 17.77 | 52 | 1 1 0 |
| 28.27 | 80 | 2 1 0 |
| 32.17 | 29 | 0 0 1 |
| 40.41 | 38 | 3 1 0 |
| 43.35 | 100 | 2 1 1 |
| 81.11 | 25 | 5 2 1 |

Structural model:
Lattice parameters (Å, degrees): 7.059 7.059 2.782 90.00 90.00 90.00
Space group P4/mbm (No. 127)
Inequivalent atoms, fractional coordinates:
P: 0.150 0.350 0.000 [4 per cell]
Ir: 0.140 0.640 0.500 [4 per cell]
F: 0.000 0.000 0.500 [2 per cell]

***

Entry 3:
This entry pairs a crystal structure of PrGa3Pt3 with its computed XRD peak list. Radiation: λ = 1.5418 Å (Cu Kα). Structure: the GGA-PBE geometry in Alexandria.
No peak broadening, texture or thermal motion is included.

The 6 most intense peaks (10 to 90 degrees two-theta), sorted by position:
| 2θ (°) | intensity | h k l |
| --- | --- | --- |
| 27.23 | 59 | 0 0 6 |
| 29.30 | 100 | 2 -1 3 |
| 37.92 | 66 | 2 -1 6 |
| 40.25 | 85 | 2 1 1 |
| 41.06 | 84 | 1 2 2 |
| 49.45 | 49 | 1 1 9 |

Structural model:
Lattice parameters (Å, degrees): 6.8902 6.8902 19.6364 90.00 90.00 120.00
Space group R-3 (No. 148, hexagonal axes)
Inequivalent atoms, fractional coordinates:
Pr: 0.0000 0.0000 0.1604 [6 per cell]
Ga: 0.0245 0.4195 0.3770 [18 per cell]
Pt: 0.0091 0.2428 0.5805 [18 per cell]

***

Entry 4:
This entry pairs a crystal structure of Ti4Fe2Co with its computed XRD peak list. Radiation: λ = 1.5418 Å (Cu Kα). Structure: the GGA-PBE geometry in Alexandria.
No peak broadening, texture or thermal motion is included.

The 6 most intense peaks (10 to 90 degrees two-theta), sorted by position:
| 2θ (°) | intensity | h k l |
| --- | --- | --- |
| 21.45 | 19 | 1 0 1 |
| 37.60 | 8 | 2 1 1 |
| 43.69 | 100 | 2 2 0 |
| 58.98 | 4 | 3 2 1 |
| 63.50 | 15 | 4 0 0 |
| 80.26 | 28 | 4 2 2 |

Structural model:
Lattice parameters (Å, degrees): 5.860 5.860 5.860 90.00 90.00 90.00
Space group I4/mmm (No. 139)
Inequivalent atoms, fractional coordinates:
Ti: 0.250 0.250 0.250 [8 per cell]
Fe: 0.000 0.500 0.000 [4 per cell]
Co: 0.000 0.000 0.000 [2 per cell]

***

Entry 5:
This entry pairs a crystal structure of K2FeGeSe4 with its computed XRD peak list. Radiation: λ = 1.5418 Å (Cu Kα). Structure: the GGA-PBE geometry in Alexandria.
No peak broadening, texture or thermal motion is included.

The 6 most intense peaks (10 to 90 degrees two-theta), sorted by position:
| 2θ (°) | intensity | h k l |
| --- | --- | --- |
| 15.08 | 100 | 0 0 4 |
| 26.62 | 69 | 1 3 3 |
| 30.75 | 57 | 1 3 5 |
| 36.14 | 42 | 2 0 6 |
| 39.31 | 29 | 2 4 2 |
| 47.99 | 24 | 2 0 10 |

Structural model:
Lattice parameters (Å, degrees): 6.439 13.593 23.457 90.00 90.00 90.00
Space group Fddd (No. 70, origin choice 2)
Inequivalent atoms, fractional coordinates:
K: 0.125 0.125 0.307 [16 per cell]
Fe: 0.125 0.125 0.125 [8 per cell]
Ge: 0.125 0.125 0.625 [8 per cell]
Se: 0.123 0.277 0.428 [32 per cell]

***

Entry 6:
This entry pairs a crystal structure of La3Pr5Ga2 with its computed XRD peak list. Radiation: λ = 1.5418 Å (Cu Kα). Structure: the GGA-PBE geometry in Alexandria.
No peak broadening, texture or thermal motion is included.

The 6 most intense peaks (10 to 90 degrees two-theta), sorted by position:
| 2θ (°) | intensity | h k l |
| --- | --- | --- |
| 25.50 | 19 | 2 1 1 |
| 30.43 | 100 | 3 1 1 |
| 33.07 | 45 | 4 2 0 |
| 39.45 | 18 | 0 0 2 |
| 50.59 | 20 | 4 1 2 |
| 52.35 | 19 | 4 2 2 |

Structural model:
Lattice parameters (Å, degrees): 12.121 12.121 4.568 90.00 90.00 90.00
Space group P4/mbm (No. 127)
Inequivalent atoms, fractional coordinates:
La: 0.000 0.000 0.000 [2 per cell]
La: 0.175 0.325 0.000 [4 per cell]
Pr: 0.000 0.500 0.500 [2 per cell]
Pr: 0.072 0.785 0.500 [8 per cell]
Ga: 0.124 0.624 0.000 [4 per cell]

***

Repeat the fifth record exactly.
This entry pairs a crystal structure of K2FeGeSe4 with its computed XRD peak list. Radiation: λ = 1.5418 Å (Cu Kα). Structure: the GGA-PBE geometry in Alexandria.
No peak broadening, texture or thermal motion is included.

The 6 most intense peaks (10 to 90 degrees two-theta), sorted by position:
| 2θ (°) | intensity | h k l |
| --- | --- | --- |
| 15.08 | 100 | 0 0 4 |
| 26.62 | 69 | 1 3 3 |
| 30.75 | 57 | 1 3 5 |
| 36.14 | 42 | 2 0 6 |
| 39.31 | 29 | 2 4 2 |
| 47.99 | 24 | 2 0 10 |

Structural model:
Lattice parameters (Å, degrees): 6.439 13.593 23.457 90.00 90.00 90.00
Space group Fddd (No. 70, origin choice 2)
Inequivalent atoms, fractional coordinates:
K: 0.125 0.125 0.307 [16 per cell]
Fe: 0.125 0.125 0.125 [8 per cell]
Ge: 0.125 0.125 0.625 [8 per cell]
Se: 0.123 0.277 0.428 [32 per cell]